(1)
# Tm2CuTe2S2O14
Theoretical powder diffractogram, Cu Kα X-rays. Input: a structure optimized by DFT (GGA-PBE).

Structural model:
```
data_Tm2CuTe2S2O14
_space_group_name_H-M_alt 'P -1'
_space_group_IT_number 2
_space_group_name_Hall '-P 1'
_cell_length_a 5.1814
_cell_length_b 7.8853
_cell_length_c 8.1535
_cell_angle_alpha 61.78
_cell_angle_beta 74.48
_cell_angle_gamma 85.16
loop_
_atom_site_label
_atom_site_fract_x
_atom_site_fract_y
_atom_site_fract_z
Tm1 0.0641 0.2516 0.0205
Cu1 0.0000 0.0000 0.5000
Te1 0.4932 0.7273 0.6547
S1 0.2643 0.7452 0.2477
O1 0.1550 0.5837 0.2346
O2 0.1577 0.7357 0.4379
O3 0.1732 0.9214 0.0943
O4 0.2462 0.5588 0.8900
O5 0.2534 0.9306 0.6593
O6 0.2673 0.1869 0.2526
O7 0.4387 0.2591 0.7946
```

Peak list (10 most intense, 2θ from 10° to 90°, sorted by position)
2θ 13.1, intensity 63; 2θ 22.6, intensity 41; 2θ 24.5, intensity 67; 2θ 24.9, intensity 69; 2θ 25.7, intensity 100; 2θ 27.2, intensity 47; 2θ 27.6, intensity 41; 2θ 30.2, intensity 73; 2θ 35.1, intensity 74; 2θ 38.9, intensity 40

(2)
# Ac4RhN2
Theoretical powder diffractogram, Cu Kα X-rays. Input: a structure optimized by DFT (GGA-PBE).

Structural model:
```
data_Ac4RhN2
_space_group_name_H-M_alt 'I -4 2 m'
_space_group_IT_number 121
_space_group_name_Hall 'I -4 2'
_cell_length_a 6.8028
_cell_length_b 6.8028
_cell_length_c 8.5306
_cell_angle_alpha 90.00
_cell_angle_beta 90.00
_cell_angle_gamma 90.00
loop_
_atom_site_label
_atom_site_fract_x
_atom_site_fract_y
_atom_site_fract_z
Ac1 0.2333 0.2333 0.3498
Rh1 0.0000 0.0000 0.0000
N1 0.0000 0.5000 0.2500
```

Peak list (10 most intense, 2θ from 10° to 90°, sorted by position)
2θ 26.2, intensity 44; 2θ 28.0, intensity 100; 2θ 31.2, intensity 10; 2θ 33.7, intensity 11; 2θ 37.4, intensity 32; 2θ 46.6, intensity 10; 2θ 47.3, intensity 45; 2θ 50.5, intensity 19; 2θ 53.9, intensity 10; 2θ 74.5, intensity 10

(3)
# Ac6NiRh2Br2
Theoretical powder diffractogram, Cu Kα X-rays. Input: a structure optimized by DFT (GGA-PBE).

Structural model:
```
data_Ac6NiRh2Br2
_space_group_name_H-M_alt 'C 1 2/m 1'
_space_group_IT_number 12
_space_group_name_Hall '-C 2y'
_cell_length_a 7.5519
_cell_length_b 13.0522
_cell_length_c 8.4181
_cell_angle_alpha 90.00
_cell_angle_beta 107.35
_cell_angle_gamma 90.00
loop_
_atom_site_label
_atom_site_fract_x
_atom_site_fract_y
_atom_site_fract_z
Ac1 0.2300 0.0000 0.1983
Ac2 0.2348 0.3357 0.1984
Ni1 0.0000 0.5000 0.0000
Rh1 0.0000 0.1701 0.0000
Br1 0.0000 0.3336 0.5000
```

Peak list (10 most intense, 2θ from 10° to 90°, sorted by position)
2θ 11.0, intensity 30; 2θ 24.7, intensity 35; 2θ 27.9, intensity 100; 2θ 35.3, intensity 21; 2θ 38.2, intensity 27; 2θ 41.5, intensity 40; 2θ 48.0, intensity 15; 2θ 50.8, intensity 13; 2θ 54.3, intensity 12; 2θ 67.5, intensity 11

(4)
# Sn6Br7Cl5
Theoretical powder diffractogram, Cu Kα X-rays. Input: a structure optimized by DFT (GGA-PBE).

Structural model:
```
data_Sn6Br7Cl5
_space_group_name_H-M_alt 'A m m 2'
_space_group_IT_number 38
_space_group_name_Hall 'A 2 -2'
_cell_length_a 13.3271
_cell_length_b 10.0419
_cell_length_c 9.5942
_cell_angle_alpha 90.00
_cell_angle_beta 90.00
_cell_angle_gamma 90.00
loop_
_atom_site_label
_atom_site_fract_x
_atom_site_fract_y
_atom_site_fract_z
Sn1 0.0000 0.0000 0.9996
Sn2 0.1665 0.0000 0.5000
Sn3 0.3296 0.0000 0.9936
Sn4 0.5000 0.0000 0.4736
Br1 0.0000 0.2005 0.5232
Br2 0.3323 0.2016 0.4745
Br3 0.5000 0.0000 0.8032
Cl1 0.1472 0.0000 0.1864
Cl2 0.1870 0.0000 0.7872
Cl3 0.5000 0.0000 0.1940
```

Peak list (10 most intense, 2θ from 10° to 90°, sorted by position)
2θ 17.7, intensity 40; 2θ 18.5, intensity 100; 2θ 23.8, intensity 55; 2θ 26.8, intensity 38; 2θ 27.4, intensity 38; 2θ 34.8, intensity 92; 2θ 35.7, intensity 77; 2θ 37.5, intensity 27; 2θ 40.6, intensity 42; 2θ 44.2, intensity 72

(5)
# Pm6Nd3In
Theoretical powder diffractogram, Cu Kα X-rays. Input: a structure optimized by DFT (GGA-PBE).

Structural model:
```
data_Pm6Nd3In
_space_group_name_H-M_alt 'P 1 21/m 1'
_space_group_IT_number 11
_space_group_name_Hall '-P 2yb'
_cell_length_a 11.7790
_cell_length_b 3.6276
_cell_length_c 16.1343
_cell_angle_alpha 90.00
_cell_angle_beta 90.26
_cell_angle_gamma 90.00
loop_
_atom_site_label
_atom_site_fract_x
_atom_site_fract_y
_atom_site_fract_z
Pm1 0.1201 0.2500 0.4710
Pm2 0.1233 0.2500 0.8268
Pm3 0.1249 0.7500 0.0332
Pm4 0.3692 0.7500 0.7654
Pm5 0.3732 0.2500 0.9596
Pm6 0.3755 0.2500 0.3516
Nd1 0.1235 0.2500 0.2326
Nd2 0.3722 0.7500 0.5431
Nd3 0.3748 0.7500 0.1566
In1 0.1202 0.7500 0.6493
```

Peak list (10 most intense, 2θ from 10° to 90°, sorted by position)
2θ 26.9, intensity 38; 2θ 30.4, intensity 57; 2θ 31.6, intensity 42; 2θ 31.7, intensity 42; 2θ 33.5, intensity 100; 2θ 41.0, intensity 24; 2θ 50.3, intensity 15; 2θ 51.9, intensity 19; 2θ 59.9, intensity 16; 2θ 60.6, intensity 26

(6)
# Pr7Pt2Au2
Theoretical powder diffractogram, Cu Kα X-rays. Input: a structure optimized by DFT (GGA-PBE).

Structural model:
```
data_Pr7Pt2Au2
_space_group_name_H-M_alt 'C m m m'
_space_group_IT_number 65
_space_group_name_Hall '-C 2 2'
_cell_length_a 8.1840
_cell_length_b 11.3024
_cell_length_c 7.3573
_cell_angle_alpha 90.00
_cell_angle_beta 90.00
_cell_angle_gamma 90.00
loop_
_atom_site_label
_atom_site_fract_x
_atom_site_fract_y
_atom_site_fract_z
Pr1 0.0000 0.0000 0.0000
Pr2 0.0000 0.5000 0.2572
Pr3 0.2500 0.2500 0.2653
Pt1 0.0000 0.2891 0.0000
Au1 0.1816 0.0000 0.5000
```

Peak list (10 most intense, 2θ from 10° to 90°, sorted by position)
2θ 19.8, intensity 41; 2θ 24.9, intensity 54; 2θ 27.7, intensity 30; 2θ 31.7, intensity 56; 2θ 35.8, intensity 45; 2θ 36.5, intensity 100; 2θ 40.7, intensity 19; 2θ 42.7, intensity 24; 2θ 49.6, intensity 19; 2θ 60.0, intensity 17

(7)
# Tb4Bi8Rh3
Theoretical powder diffractogram, Cu Kα X-rays. Input: a structure optimized by DFT (GGA-PBE).

Structural model:
```
data_Tb4Bi8Rh3
_space_group_name_H-M_alt 'P -4 m 2'
_space_group_IT_number 115
_space_group_name_Hall 'P -4 -2'
_cell_length_a 4.6078
_cell_length_b 4.6078
_cell_length_c 18.8083
_cell_angle_alpha 90.00
_cell_angle_beta 90.00
_cell_angle_gamma 90.00
loop_
_atom_site_label
_atom_site_fract_x
_atom_site_fract_y
_atom_site_fract_z
Tb1 0.0000 0.5000 0.1085
Tb2 0.0000 0.5000 0.6117
Bi1 0.0000 0.0000 0.2482
Bi2 0.0000 0.5000 0.4151
Bi3 0.0000 0.5000 0.9236
Bi4 0.5000 0.5000 0.2471
Rh1 0.0000 0.0000 0.0000
Rh2 0.0000 0.0000 0.5000
Rh3 0.5000 0.5000 0.5000
```

Peak list (10 most intense, 2θ from 10° to 90°, sorted by position)
2θ 27.1, intensity 10; 2θ 28.5, intensity 23; 2θ 29.0, intensity 37; 2θ 33.5, intensity 100; 2θ 39.1, intensity 51; 2θ 47.7, intensity 12; 2θ 49.1, intensity 22; 2θ 56.5, intensity 26; 2θ 67.3, intensity 27; 2θ 84.0, intensity 12

(8)
# CaTiAgP3O12
Theoretical powder diffractogram, Cu Kα X-rays. Input: a structure optimized by DFT (GGA-PBE).

Structural model:
```
data_CaTiAgP3O12
_space_group_name_H-M_alt 'R 3 c'
_space_group_IT_number 161
_space_group_name_Hall 'R 3 -2"c'
_cell_length_a 8.8267
_cell_length_b 8.8267
_cell_length_c 21.8879
_cell_angle_alpha 90.00
_cell_angle_beta 90.00
_cell_angle_gamma 120.00
loop_
_atom_site_label
_atom_site_fract_x
_atom_site_fract_y
_atom_site_fract_z
Ca1 0.0000 0.0000 0.0000
Ti1 0.0000 0.0000 0.1522
Ag1 0.0000 0.0000 0.3548
P1 0.0089 0.2997 0.2546
O1 0.0030 0.1876 0.9209
O2 0.0146 0.1913 0.1986
O3 0.1272 0.4418 0.9823
O4 0.1839 0.4785 0.2531
```

Peak list (10 most intense, 2θ from 10° to 90°, sorted by position)
2θ 14.1, intensity 31; 2θ 20.0, intensity 41; 2θ 20.1, intensity 100; 2θ 23.6, intensity 95; 2θ 28.5, intensity 30; 2θ 31.8, intensity 100; 2θ 35.2, intensity 59; 2θ 48.2, intensity 36; 2θ 55.0, intensity 34; 2θ 61.1, intensity 26